Rb5Co2F12: computed powder diffraction line list (a wavelength of 1.5418 Å), based on the PBE+U geometry in Alexandria.
Peak positions follow from Bragg's law for the DFT cell and can differ from measured ones.

Principal peaks in the range 2θ from 10° to 90°, most intense first:
- (3 1 -2), 32.4°, d = 2.767 Å, I 100
- (0 2 2), 34.5°, d = 2.600 Å, I 98
- (3 1 0), 23.9°, d = 3.721 Å, I 92
- (2 2 -1), 26.5°, d = 3.360 Å, I 78
- (0 2 0), 20.0°, d = 4.439 Å, I 69
- (3 3 1), 42.1°, d = 2.145 Å, I 69
- (0 0 2), 27.8°, d = 3.210 Å, I 66
- (2 2 1), 30.2°, d = 2.957 Å, I 62
- (0 4 0), 40.6°, d = 2.220 Å, I 62
- (2 2 0), 24.7°, d = 3.599 Å, I 60

Atomic structure:
```
data_Rb5Co2F12
_chemical_formula_sum 'Rb10 Co4 F24'
_space_group_name_H-M_alt 'C 1 2/m 1'
_space_group_IT_number 12
_cell_length_a 12.7135
_cell_length_b 8.8775
_cell_length_c 6.6386
_cell_angle_alpha 90.00
_cell_angle_beta 104.73
_cell_angle_gamma 90.00
loop_
_space_group_symop_operation_xyz
'x,y,z'
'-x,-y,-z'
'-x,y,-z'
'x,-y,z'
'x+1/2,y+1/2,z'
'-x+1/2,-y+1/2,-z'
'-x+1/2,y+1/2,-z'
'x+1/2,-y+1/2,z'
loop_
_atom_site_label
_atom_site_fract_x
_atom_site_fract_y
_atom_site_fract_z
Rb1 0.0000 0.0000 0.0000
Rb2 0.1380 0.5000 0.9968
Rb3 0.2431 0.5000 0.5382
Co1 0.0000 0.1956 0.5000
F1 0.0278 0.5000 0.3693
F2 0.0796 0.0000 0.6400
F3 0.0907 0.2041 0.2999
F4 0.1205 0.2747 0.7029
```